Simulated PXRD pattern of Y2Mn3O9 for CuKα, from a cell relaxed with GGA+U.

Peak list (10 most intense, 10° ≤ 2θ ≤ 90°, by angle)
index	2θ (°)	d_spacing	Rel. int.
1 1 1	24.6	3.613	42
0 4 1	26.3	3.392	27
0 0 4	29.2	3.060	79
1 3 2	33.1	2.704	100
0 6 1	39.0	2.312	35
2 0 0	46.3	1.963	43
1 7 0	50.9	1.795	19
1 3 6	54.3	1.690	33
2 0 4	55.6	1.652	24
0 2 8	62.0	1.496	20

Structural model:
Lattice parameters (Å, degrees): 3.925 14.120 12.240 90.00 90.00 90.00
Space group Cmc2_1 (No. 36)
Inequivalent atoms, fractional coordinates:
Y (0.000, 0.021, 0.000) (multiplicity 4)
Y (0.000, 0.295, 0.975) (multiplicity 4)
Mn (0.000, 0.156, 0.716) (multiplicity 4)
Mn (0.000, 0.186, 0.232) (multiplicity 4)
Mn (0.000, 0.461, 0.758) (multiplicity 4)
O (0.000, 0.049, 0.258) (multiplicity 4)
O (0.000, 0.135, 0.564) (multiplicity 4)
O (0.000, 0.143, 0.866) (multiplicity 4)
O (0.000, 0.165, 0.081) (multiplicity 4)
O (0.000, 0.216, 0.382) (multiplicity 4)
O (0.000, 0.316, 0.745) (multiplicity 4)
O (0.000, 0.321, 0.202) (multiplicity 4)
O (0.000, 0.462, 0.912) (multiplicity 4)
O (0.000, 0.485, 0.612) (multiplicity 4)